1.
Diffraction record for K11Ba. The powder XRD pattern is calculated, not measured: it uses a crystal structure in Alexandria, relaxed with GGA-PBE and CuKα.

Crystal structure
a b c (Å): 14.8934 14.8934 4.4536
angles (deg): 90.00 90.00 120.00
Fractional coordinates of all 12 atoms:
K (0.0000, 0.5000, 0.0000)
K (0.1680, 0.3361, 0.5000)
K (0.1680, 0.8320, 0.5000)
K (0.3333, 0.6667, 0.0000)
K (0.3361, 0.1680, 0.5000)
K (0.5000, 0.0000, 0.0000)
K (0.5000, 0.5000, 0.0000)
K (0.6639, 0.8320, 0.5000)
K (0.6667, 0.3333, 0.0000)
K (0.8320, 0.1680, 0.5000)
K (0.8320, 0.6639, 0.5000)
Ba (0.0000, 0.0000, 0.0000)

The 6 most intense peaks (2θ = 10–90°), in order of rising 2θ:
d (Å)  two_theta  I_rel
3.822  23.27  40
3.723  23.90  100
3.665  24.29  63
2.612  34.34  25
2.138  42.27  27
1.911  47.58  27


2.
Diffraction record for KBa3. The powder XRD pattern is calculated, not measured: it uses a crystal structure in Alexandria, relaxed with GGA-PBE and CuKα.

Crystal structure
a b c (Å): 16.0740 16.0740 16.0740
angles (deg): 15.93 15.93 15.93
Fractional coordinates of all 4 atoms:
K (0.0000, 0.0000, 0.0000)
Ba (0.0899, 0.0899, 0.0899)
Ba (0.5000, 0.5000, 0.5000)
Ba (0.9101, 0.9101, 0.9101)

The 6 most intense peaks (2θ = 10–90°), in order of rising 2θ:
d (Å)  two_theta  I_rel
3.967  22.41  62
3.808  23.36  83
3.575  24.91  100
3.355  26.57  54
2.997  29.81  82
1.942  46.78  50


3.
Diffraction record for K3Ba. The powder XRD pattern is calculated, not measured: it uses a crystal structure in Alexandria, relaxed with GGA-PBE and CuKα.

Crystal structure
a b c (Å): 8.8264 8.8264 8.8264
angles (deg): 148.03 129.02 61.46
Fractional coordinates of all 4 atoms:
K (0.0000, 0.0000, 0.0000)
K (0.2392, 0.7392, 0.5000)
K (0.7608, 0.2608, 0.5000)
Ba (0.5000, 0.5000, 0.0000)

The 6 most intense peaks (2θ = 10–90°), in order of rising 2θ:
d (Å)  two_theta  I_rel
6.794  13.03  22
3.796  23.43  57
3.604  24.71  100
2.684  33.38  22
2.153  41.97  44
2.047  44.25  19